(1)
This entry pairs a crystal structure of KLiMnN2 with its computed powder diffractogram. Radiation: Cu Kα (λ = 1.5418 Å). Structure: a structure optimized by DFT (PBE).
Kinematic intensities with the Lorentz-polarization factor, no thermal factor.

Peak list (12 most intense, 2θ from 10° to 80°, sorted by position)
2θ 11.9, rel. 42
2θ 16.4, rel. 53
2θ 18.4, rel. 38
2θ 26.4, rel. 19
2θ 30.5, rel. 100
2θ 31.7, rel. 59
2θ 33.0, rel. 56
2θ 37.0, rel. 31
2θ 37.2, rel. 42
2θ 48.2, rel. 29
2θ 56.5, rel. 19
2θ 60.5, rel. 25

Atomic structure:
Unit cell a=5.7499 b=5.7499 c=7.5536 alpha=100.50 beta=100.50 gamma=32.93
Fractional positions:
K1 0.1440 0.1440 0.1352
K2 0.8560 0.8560 0.8648
Li1 0.1935 0.1935 0.5573
Li2 0.8065 0.8065 0.4427
Mn1 0.4481 0.4481 0.3476
Mn2 0.5519 0.5519 0.6524
N1 0.0932 0.0932 0.7562
N2 0.3862 0.3862 0.5612
N3 0.6138 0.6138 0.4388
N4 0.9068 0.9068 0.2438

***

(2)
This entry pairs a crystal structure of NiSeSN with its computed powder diffractogram. Radiation: Cu Kα (λ = 1.5418 Å). Structure: a structure optimized by DFT (PBE).
Kinematic intensities with the Lorentz-polarization factor, no thermal factor.

Peak list (12 most intense, 2θ from 10° to 80°, sorted by position)
2θ 11.0, rel. 100
2θ 30.6, rel. 82
2θ 33.4, rel. 15
2θ 35.5, rel. 54
2θ 42.1, rel. 11
2θ 42.2, rel. 11
2θ 45.4, rel. 14
2θ 49.5, rel. 12
2θ 49.7, rel. 34
2θ 56.3, rel. 10
2θ 73.5, rel. 11
2θ 74.1, rel. 9

Atomic structure:
Unit cell a=2.8714 b=2.9680 c=8.3000 alpha=79.85 beta=80.18 gamma=89.96
Fractional positions:
Ni1 0.0000 0.0000 0.0000
Se1 0.6155 0.1152 0.7655
S1 0.3317 0.8311 0.3420
N1 0.4260 0.9257 0.1503

***

(3)
This entry pairs a crystal structure of Na2Zn3In4 with its computed powder diffractogram. Radiation: Cu Kα (λ = 1.5418 Å). Structure: a structure optimized by DFT (PBE).
Kinematic intensities with the Lorentz-polarization factor, no thermal factor.

Peak list (12 most intense, 2θ from 10° to 80°, sorted by position)
2θ 18.6, rel. 26
2θ 19.1, rel. 40
2θ 25.3, rel. 16
2θ 31.4, rel. 24
2θ 32.7, rel. 18
2θ 33.6, rel. 17
2θ 34.7, rel. 19
2θ 35.4, rel. 38
2θ 36.9, rel. 100
2θ 38.7, rel. 30
2θ 39.5, rel. 32
2θ 59.6, rel. 24

Atomic structure:
Unit cell a=8.9832 b=8.1209 c=5.5639 alpha=79.67 beta=62.79 gamma=37.54
Fractional positions:
Na1 0.1155 0.1155 0.8845
Na2 0.8845 0.8845 0.1155
Zn1 0.0000 0.0000 0.5000
Zn2 0.5000 0.5000 0.0000
Zn3 0.5000 0.5000 0.5000
In1 0.1698 0.4990 0.5010
In2 0.4990 0.1698 0.8302
In3 0.5010 0.8302 0.1698
In4 0.8302 0.5010 0.4990

***

(4)
This entry pairs a crystal structure of AcLa3Cd with its computed powder diffractogram. Radiation: Cu Kα (λ = 1.5418 Å). Structure: a structure optimized by DFT (PBE).
Kinematic intensities with the Lorentz-polarization factor, no thermal factor.

Peak list (12 most intense, 2θ from 10° to 80°, sorted by position)
2θ 29.3, rel. 49
2θ 29.6, rel. 56
2θ 30.1, rel. 100
2θ 32.3, rel. 90
2θ 38.6, rel. 18
2θ 45.4, rel. 16
2θ 47.1, rel. 16
2θ 51.3, rel. 17
2θ 55.3, rel. 14
2θ 55.6, rel. 16
2θ 56.5, rel. 19
2θ 56.6, rel. 18

Atomic structure:
Unit cell a=3.8559 b=9.3295 c=10.4498 alpha=103.38 beta=100.62 gamma=90.03
Fractional positions:
Ac1 0.0947 0.0385 0.1931
Ac2 0.9053 0.9615 0.8069
La1 0.2953 0.1703 0.5900
La2 0.3126 0.6189 0.6243
La3 0.4957 0.7085 0.9928
La4 0.5043 0.2915 0.0072
La5 0.6874 0.3811 0.3757
La6 0.7047 0.8297 0.4100
Cd1 0.1043 0.5732 0.2082
Cd2 0.8957 0.4268 0.7918

***

(5)
This entry pairs a crystal structure of ReNi2Pt3 with its computed powder diffractogram. Radiation: Cu Kα (λ = 1.5418 Å). Structure: a structure optimized by DFT (PBE).
Kinematic intensities with the Lorentz-polarization factor, no thermal factor.

Peak list (12 most intense, 2θ from 10° to 80°, sorted by position)
2θ 15.8, rel. 3
2θ 23.8, rel. 8
2θ 32.7, rel. 8
2θ 33.7, rel. 3
2θ 36.5, rel. 4
2θ 40.8, rel. 100
2θ 46.9, rel. 34
2θ 48.6, rel. 15
2θ 53.3, rel. 4
2θ 59.9, rel. 3
2θ 68.6, rel. 11
2θ 69.9, rel. 20

Atomic structure:
Unit cell a=2.7377 b=2.7377 c=11.2294 alpha=90.00 beta=90.00 gamma=90.00
Fractional positions:
Re1 0.0000 0.0000 0.0000
Ni1 0.0000 0.0000 0.3405
Ni2 0.0000 0.0000 0.6595
Pt1 0.5000 0.5000 0.1731
Pt2 0.5000 0.5000 0.5000
Pt3 0.5000 0.5000 0.8269

***

(6)
This entry pairs a crystal structure of Y5PuTl6 with its computed powder diffractogram. Radiation: Cu Kα (λ = 1.5418 Å). Structure: a structure optimized by DFT (PBE).
Kinematic intensities with the Lorentz-polarization factor, no thermal factor.

Peak list (12 most intense, 2θ from 10° to 80°, sorted by position)
2θ 23.4, rel. 9
2θ 33.3, rel. 100
2θ 41.1, rel. 3
2θ 47.7, rel. 6
2θ 47.8, rel. 12
2θ 53.8, rel. 2
2θ 53.9, rel. 2
2θ 59.5, rel. 25
2θ 59.5, rel. 13
2θ 69.9, rel. 10
2θ 79.5, rel. 5
2θ 79.7, rel. 11

Atomic structure:
Unit cell a=9.3234 b=9.3234 c=5.3761 alpha=106.74 beta=106.74 gamma=119.97
Fractional positions:
Y1 0.0000 0.0000 0.0000
Y2 0.1694 0.8306 0.5000
Y3 0.3404 0.6596 0.0000
Y4 0.6596 0.3404 0.0000
Y5 0.8306 0.1694 0.5000
Pu1 0.5000 0.5000 0.5000
Tl1 0.0756 0.4141 0.2449
Tl2 0.2391 0.2391 0.7393
Tl3 0.4141 0.0756 0.2449
Tl4 0.5859 0.9244 0.7551
Tl5 0.7609 0.7609 0.2607
Tl6 0.9244 0.5859 0.7551